Structure and theoretical powder X-ray diffraction pattern of InFeF6 (DFT lattice parameters and positions (GGA+U); λ = 1.5418 Å (Cu Kα)).
Intensities are scaled so that the largest is 100.

Crystal structure
a b c (Å): 5.1627 5.1627 9.5511
angles (deg): 90.00 90.00 120.00
Sites, in units of the cell vectors:
In 0.0000 0.0000 0.0000
In 0.0000 0.0000 0.5000
Fe 0.3333 0.6667 0.2500
Fe 0.6667 0.3333 0.7500
F 0.0395 0.3501 0.1290
F 0.0395 0.6895 0.3710
F 0.3105 0.3501 0.3710
F 0.3105 0.9605 0.1290
F 0.3501 0.0395 0.6290
F 0.3501 0.3105 0.8710
F 0.6499 0.6895 0.1290
F 0.6499 0.9605 0.3710
F 0.6895 0.0395 0.8710
F 0.6895 0.6499 0.6290
F 0.9605 0.3105 0.6290
F 0.9605 0.6499 0.8710

Main lines, sorted by position (15 to 90 degrees two-theta):
(1 0 0), 2θ 19.86, d 4.471, intensity 38.3
(1 0 1), 2θ 21.95, d 4.049, intensity 32.1
(1 0 2), 2θ 27.32, d 3.264, intensity 100.0
(1 1 0), 2θ 34.75, d 2.581, intensity 17.5
(2 -1 2), 2θ 39.69, d 2.271, intensity 21.7
(1 0 4), 2θ 42.94, d 2.106, intensity 10.3
(2 0 2), 2θ 44.76, d 2.025, intensity 25.6
(1 1 4), 2θ 52.18, d 1.753, intensity 38.0
(3 -1 2), 2θ 57.88, d 1.593, intensity 23.4
(3 0 0), 2θ 62.30, d 1.490, intensity 14.4